Starting from a PBE-relaxed structure, the X-ray diffraction stick pattern of Pm3NdTl3 was computed for Cu Kα (λ = 1.5418 Å).
Neutral-atom scattering factors, no anomalous dispersion.

Cell and atoms:
```
Pm3NdTl3
1.0
9.7074 0.0000 0.0000
-4.8537 8.4069 0.0000
0.0000 0.0000 5.3071
Pm Nd Tl
6 2 6
direct
0.0020 0.2396 0.2500
0.2376 0.9980 0.2500
0.2396 0.2376 0.7500
0.7604 0.7624 0.2500
0.7624 0.0020 0.7500
0.9980 0.7604 0.7500
0.3333 0.6667 0.7500
0.6667 0.3333 0.2500
0.0689 0.6190 0.2500
0.3810 0.4500 0.2500
0.4500 0.0689 0.7500
0.5500 0.9311 0.2500
0.6190 0.5500 0.7500
0.9311 0.3810 0.7500
```

Principal peaks in the range 5 to 70 degrees two-theta, low angle first:
27.06°, I 8; 28.08°, I 22; 32.85°, I 100; 33.78°, I 24; 44.48°, I 13; 47.14°, I 9; 49.70°, I 13; 59.83°, I 19; 60.86°, I 7; 61.44°, I 14